# MgFeSiO4
Computed X-ray diffraction stick pattern, a wavelength of 1.5418 Å. Input: a DFT-relaxed cell (PBE+U, Alexandria).
Lines closer than 0.1° are merged.

Main lines, most intense first (2θ from 10° to 80°):
2.572 Å, 2θ 34.89, I = 100
3.563 Å, 2θ 24.99, I = 89
1.782 Å, 2θ 51.28, I = 62
2.513 Å, 2θ 35.73, I = 54
2.832 Å, 2θ 31.59, I = 53
3.071 Å, 2θ 29.08, I = 39
1.535 Å, 2θ 60.29, I = 33
1.521 Å, 2θ 60.89, I = 26
1.659 Å, 2θ 55.38, I = 24
1.774 Å, 2θ 51.51, I = 21

Crystal structure
```
data_MgFeSiO4
_chemical_formula_sum 'Mg4 Fe4 Si4 O16'
_cell_length_a 10.5086
_cell_length_b 6.1405
_cell_length_c 4.8118
_cell_angle_alpha 90.00
_cell_angle_beta 90.00
_cell_angle_gamma 90.00
_space_group_name_H-M_alt 'P 1'
_space_group_IT_number 1
_space_group_name_Hall 'P 1'
loop_
_atom_site_label
_atom_site_fract_x
_atom_site_fract_y
_atom_site_fract_z
Mg1 0.0000 0.0000 0.0000
Mg2 0.0000 0.5000 0.0000
Mg3 0.5000 0.0000 0.5000
Mg4 0.5000 0.5000 0.5000
Fe1 0.2217 0.2500 0.4857
Fe2 0.2783 0.7500 0.9857
Fe3 0.7217 0.2500 0.0143
Fe4 0.7783 0.7500 0.5143
Si1 0.0926 0.7500 0.4253
Si2 0.4074 0.2500 0.9253
Si3 0.5926 0.7500 0.0747
Si4 0.9074 0.2500 0.5747
O1 0.0502 0.2500 0.7286
O2 0.0868 0.7500 0.7640
O3 0.1610 0.5347 0.2799
O4 0.1610 0.9653 0.2799
O5 0.3390 0.0347 0.7799
O6 0.3390 0.4653 0.7799
O7 0.4132 0.2500 0.2640
O8 0.4498 0.7500 0.2286
O9 0.5502 0.2500 0.7714
O10 0.5868 0.7500 0.7360
O11 0.6610 0.5347 0.2201
O12 0.6610 0.9653 0.2201
O13 0.8390 0.0347 0.7201
O14 0.8390 0.4653 0.7201
O15 0.9132 0.2500 0.2360
O16 0.9498 0.7500 0.2714
```